[1]
Structure and computed XRD peak list of Al2Si2H4O9 (a DFT-relaxed cell (GGA-PBE, the Materials Project); Cu Kα X-rays).
Kinematic intensities with the Lorentz-polarization factor, no thermal factor.

Cell and atoms:
```
data_Al2Si2H4O9
_cell_length_a 5.2716
_cell_length_b 9.0544
_cell_length_c 7.2966
_cell_angle_alpha 90.00
_cell_angle_beta 90.79
_cell_angle_gamma 90.00
_symmetry_space_group_name_H-M 'C 1 m 1'
_symmetry_Int_Tables_number 8
loop_
_symmetry_equiv_pos_as_xyz
'x,y,z'
'x,-y,z'
'x+1/2,y+1/2,z'
'x+1/2,-y+1/2,z'
loop_
_atom_site_label
_atom_site_fract_x
_atom_site_fract_y
_atom_site_fract_z
Al1 0.0000 0.1663 0.0000
Si1 0.3269 0.1711 0.3743
H1 0.1631 0.3294 0.7454
H2 0.1750 0.0000 0.7469
H3 0.3375 0.5000 0.2708
O1 0.0810 0.2527 0.4679
O2 0.1051 0.0000 0.8684
O3 0.1950 0.3032 0.8720
O4 0.3144 0.1933 0.1552
O5 0.3290 0.0000 0.4476
O6 0.3998 0.5000 0.1473
```

Most intense lines, 10° ≤ 2θ ≤ 90°, sorted by position:
2θ (°)	Rel. int.	hkl
12.13	100.0	0 0 1
19.49	36.9	1 1 0
19.61	72.7	0 2 0
22.89	73.4	1 1 -1
23.14	38.8	1 1 1
24.40	58.9	0 0 2
36.38	82.4	2 0 1
42.34	22.9	1 3 -2
51.07	18.1	1 3 -3
62.25	17.6	1 3 4



[2]
Structure and computed XRD peak list of KMg6Co (a DFT-relaxed cell (GGA-PBE, the Materials Project); Cu Kα X-rays).
Kinematic intensities with the Lorentz-polarization factor, no thermal factor.

Cell and atoms:
```
data_KMg6Co
_cell_length_a 4.5586
_cell_length_b 6.1147
_cell_length_c 14.4832
_cell_angle_alpha 90.00
_cell_angle_beta 90.00
_cell_angle_gamma 90.00
_symmetry_space_group_name_H-M 'A m m 2'
_symmetry_Int_Tables_number 38
loop_
_symmetry_equiv_pos_as_xyz
'x,y,z'
'-x,-y,z'
'-x,y,z'
'x,-y,z'
'x,y+1/2,z+1/2'
'-x,-y+1/2,z+1/2'
'-x,y+1/2,z+1/2'
'x,-y+1/2,z+1/2'
loop_
_atom_site_label
_atom_site_fract_x
_atom_site_fract_y
_atom_site_fract_z
K1 0.0000 0.0000 0.0000
Mg1 0.0000 0.0000 0.4309
Mg2 0.0000 0.2375 0.2038
Mg3 0.5000 0.0000 0.6065
Mg4 0.5000 0.2486 0.3301
Co1 0.5000 0.0000 0.1845
```

Most intense lines, 10° ≤ 2θ ≤ 90°, sorted by position:
2θ (°)	Rel. int.	hkl
12.22	39.5	0 0 2
15.73	44.4	0 1 1
23.05	32.0	1 0 2
30.68	48.8	1 1 3
31.56	34.6	1 0 4
31.77	26.9	0 2 2
34.25	33.1	0 1 5
37.54	100.0	1 2 2
39.54	37.4	2 0 0
43.53	24.6	1 2 4



[3]
Structure and computed XRD peak list of BaZn5 (a DFT-relaxed cell (GGA-PBE, the Materials Project); Cu Kα X-rays).
Kinematic intensities with the Lorentz-polarization factor, no thermal factor.

Cell and atoms:
```
data_BaZn5
_cell_length_a 10.9253
_cell_length_b 8.4894
_cell_length_c 5.3374
_cell_angle_alpha 90.00
_cell_angle_beta 90.00
_cell_angle_gamma 90.00
_symmetry_space_group_name_H-M 'C m c m'
_symmetry_Int_Tables_number 63
_symmetry_space_group_name_Hall '-C 2c 2'
loop_
_atom_site_label
_atom_site_fract_x
_atom_site_fract_y
_atom_site_fract_z
Ba1 0.0000 0.1684 0.2500
Zn1 0.0000 0.4216 0.7500
Zn2 0.1918 0.2277 0.7500
Zn3 0.2050 0.5000 0.0000
```

Most intense lines, 10° ≤ 2θ ≤ 90°, sorted by position:
2θ (°)	Rel. int.	hkl
26.84	15.9	0 2 1
31.54	100.0	3 1 1
32.74	42.6	4 0 0
37.51	17.6	2 0 2
39.90	30.0	0 2 2
43.35	26.2	2 2 2
43.93	17.4	3 3 1
45.87	18.7	2 4 0
52.94	15.1	5 3 0
58.77	16.3	3 1 3



[4]
Structure and computed XRD peak list of Ti2VSe4 (a DFT-relaxed cell (GGA-PBE, the Materials Project); Cu Kα X-rays).
Kinematic intensities with the Lorentz-polarization factor, no thermal factor.

Cell and atoms:
```
data_Ti2VSe4
_cell_length_a 13.5696
_cell_length_b 3.5366
_cell_length_c 6.4200
_cell_angle_alpha 90.00
_cell_angle_beta 117.05
_cell_angle_gamma 90.00
_symmetry_space_group_name_H-M 'C 1 2/m 1'
_symmetry_Int_Tables_number 12
loop_
_symmetry_equiv_pos_as_xyz
'x,y,z'
'-x,-y,-z'
'-x,y,-z'
'x,-y,z'
'x+1/2,y+1/2,z'
'-x+1/2,-y+1/2,-z'
'-x+1/2,y+1/2,-z'
'x+1/2,-y+1/2,z'
loop_
_atom_site_label
_atom_site_fract_x
_atom_site_fract_y
_atom_site_fract_z
Ti1 0.2460 0.0000 0.2064
V1 0.0000 0.5000 0.5000
Se1 0.1105 0.5000 0.9445
Se2 0.1327 0.0000 0.4692
```

Most intense lines, 10° ≤ 2θ ≤ 90°, sorted by position:
2θ (°)	Rel. int.	hkl
31.29	30.8	0 0 2
31.84	52.5	4 0 -2
32.35	100.0	1 1 1
32.62	47.3	3 1 -1
40.58	22.8	2 0 2
41.52	52.3	3 1 1
41.98	48.8	5 1 -1
49.81	53.8	3 1 -3
51.69	26.8	0 2 0
54.59	16.4	7 1 -1



[5]
Structure and computed XRD peak list of SrMg3O4 (a DFT-relaxed cell (GGA-PBE, the Materials Project); Cu Kα X-rays).
Kinematic intensities with the Lorentz-polarization factor, no thermal factor.

Cell and atoms:
```
data_SrMg3O4
_cell_length_a 3.3015
_cell_length_b 3.3015
_cell_length_c 8.9796
_cell_angle_alpha 90.00
_cell_angle_beta 90.00
_cell_angle_gamma 90.00
_symmetry_space_group_name_H-M 'P 4/m m m'
_symmetry_Int_Tables_number 123
_symmetry_space_group_name_Hall '-P 4 2'
loop_
_atom_site_label
_atom_site_fract_x
_atom_site_fract_y
_atom_site_fract_z
Sr1 0.0000 0.0000 0.0000
Mg1 0.0000 0.0000 0.5000
Mg2 0.5000 0.5000 0.2723
O1 0.0000 0.0000 0.2750
O2 0.5000 0.5000 0.0000
O3 0.5000 0.5000 0.5000
```

Most intense lines, 10° ≤ 2θ ≤ 90°, sorted by position:
2θ (°)	Rel. int.	hkl
19.77	22.5	0 0 2
27.01	19.0	1 0 0
28.81	34.1	1 0 1
29.85	18.7	0 0 3
33.70	52.5	1 0 2
38.57	100.0	1 1 0
40.17	38.9	0 0 4
55.68	30.8	2 0 0
56.90	50.6	1 1 4
70.86	24.5	2 0 4